PaSi2OsRu: theoretical powder diffractogram (copper Kα), based on a PBE-relaxed structure.
No peak broadening, texture or thermal motion is included.

Structural model:
Unit cell a=4.1768 b=4.1768 c=9.5717 alpha=90.00 beta=90.00 gamma=90.00
Space group I-4m2 (No. 119)
One atom of each set of equivalent atoms:
Pa 0.0000 0.0000 0.0000 x2
Si 0.0000 0.0000 0.3733 x4
Os 0.0000 0.5000 0.7500 x2
Ru 0.0000 0.5000 0.2500 x2

Most intense lines, 10° ≤ 2θ ≤ 90°, in order of rising 2θ:
2theta, I_rel
23.24, 44.7
35.40, 30.4
35.72, 100.0
37.59, 17.3
43.33, 36.3
49.73, 12.8
57.14, 15.7
58.68, 19.4
66.63, 16.9
74.53, 24.1



Ac2Ag2RhO6: theoretical powder diffractogram (copper Kα), based on a PBE-relaxed structure.
No peak broadening, texture or thermal motion is included.

Structural model:
Unit cell a=6.2059 b=11.1327 c=6.2953 alpha=90.00 beta=97.08 gamma=90.00
Space group C2/m (No. 12)
One atom of each set of equivalent atoms:
Ac 0.0000 0.1623 0.0000 x4
Ag 0.0000 0.3658 0.5000 x4
Rh 0.0000 0.5000 0.0000 x2
O 0.1122 0.3579 0.8255 x8
O 0.1934 0.0000 0.8441 x4

Most intense lines, 10° ≤ 2θ ≤ 90°, in order of rising 2θ:
2theta, I_rel
14.18, 70.8
20.57, 30.1
22.93, 24.1
28.58, 50.9
29.00, 54.5
30.74, 100.0
32.41, 58.4
43.78, 32.5
50.86, 31.6
51.38, 33.8



Cs3Na2Br2Cl3: theoretical powder diffractogram (copper Kα), based on a PBE-relaxed structure.
No peak broadening, texture or thermal motion is included.

Structural model:
Unit cell a=5.3624 b=5.3624 c=27.9614 alpha=90.00 beta=90.00 gamma=90.00
Space group I4/mmm (No. 139)
One atom of each set of equivalent atoms:
Cs 0.0000 0.0000 0.0000 x2
Cs 0.0000 0.0000 0.3721 x4
Na 0.0000 0.0000 0.2149 x4
Br 0.0000 0.5000 0.2500 x4
Cl 0.0000 0.0000 0.1203 x4
Cl 0.0000 0.0000 0.5000 x2

Most intense lines, 10° ≤ 2θ ≤ 90°, in order of rising 2θ:
2theta, I_rel
19.09, 66.6
22.98, 59.7
23.46, 73.5
24.32, 71.7
25.48, 85.0
26.75, 63.2
30.39, 56.6
33.42, 100.0
42.49, 82.0
55.11, 37.3



RbNa3Hg4F12: theoretical powder diffractogram (copper Kα), based on a PBE-relaxed structure.
No peak broadening, texture or thermal motion is included.

Structural model:
Unit cell a=8.7613 b=8.7613 c=8.7613 alpha=90.00 beta=90.00 gamma=90.00
Space group Im-3 (No. 204)
One atom of each set of equivalent atoms:
Rb 0.0000 0.0000 0.0000 x2
Na 0.0000 0.0000 0.5000 x6
Hg 0.2500 0.2500 0.2500 x8
F 0.0000 0.1783 0.3095 x24

Most intense lines, 10° ≤ 2θ ≤ 90°, in order of rising 2θ:
2theta, I_rel
20.27, 65.0
28.82, 100.0
35.49, 14.1
41.22, 25.8
46.35, 34.4
51.07, 53.0
59.70, 14.9
63.73, 13.2
67.63, 20.0
82.37, 23.6



Y2Er6Ni: theoretical powder diffractogram (copper Kα), based on a PBE-relaxed structure.
No peak broadening, texture or thermal motion is included.

Structural model:
Unit cell a=9.0867 b=3.5628 c=9.5652 alpha=90.00 beta=118.31 gamma=90.00
Space group P2/m (No. 10)
One atom of each set of equivalent atoms:
Y 0.1707 0.0000 0.3413 x2
Er 0.1663 0.5000 0.6705 x2
Er 0.2739 0.0000 0.9999 x2
Er 0.4958 0.5000 0.3293 x2
Ni 0.5000 0.5000 0.0000 x1

Most intense lines, 10° ≤ 2θ ≤ 90°, in order of rising 2θ:
2theta, I_rel
11.06, 35.4
19.54, 22.9
27.18, 28.4
29.97, 24.2
31.32, 40.7
31.88, 64.0
32.93, 22.5
33.66, 100.0
38.58, 40.4
42.35, 35.9



Tb3Se3S: theoretical powder diffractogram (copper Kα), based on a PBE-relaxed structure.
No peak broadening, texture or thermal motion is included.

Structural model:
Unit cell a=8.8195 b=8.8195 c=7.5164 alpha=90.00 beta=90.00 gamma=120.00
Space group R3m (No. 160, hexagonal axes)
One atom of each set of equivalent atoms:
Tb 0.1709 0.3417 0.0000 x9
Se 0.2012 0.4025 0.3988 x9
S 0.0000 0.0000 0.1535 x3

Most intense lines, 10° ≤ 2θ ≤ 90°, in order of rising 2θ:
2theta, I_rel
20.14, 28.0
26.17, 49.6
33.24, 29.3
33.45, 100.0
35.25, 25.0
35.84, 25.0
39.36, 22.9
40.93, 62.0
55.52, 32.2
69.80, 19.4



CaO2: theoretical powder diffractogram (copper Kα), based on a PBE-relaxed structure.
No peak broadening, texture or thermal motion is included.

Structural model:
Unit cell a=6.8287 b=3.6879 c=7.0525 alpha=90.00 beta=117.82 gamma=90.00
Space group C2/c (No. 15)
One atom of each set of equivalent atoms:
Ca 0.0000 0.1413 0.2500 x4
O 0.2453 0.1411 0.0885 x8

Most intense lines, 10° ≤ 2θ ≤ 90°, in order of rising 2θ:
2theta, I_rel
28.36, 44.1
28.62, 21.0
30.09, 77.6
34.91, 100.0
45.66, 28.1
47.38, 34.5
47.64, 25.3
51.70, 37.2
51.94, 18.1
65.05, 20.8



Na2InAg2Au5: theoretical powder diffractogram (copper Kα), based on a PBE-relaxed structure.
No peak broadening, texture or thermal motion is included.

Structural model:
Unit cell a=10.0637 b=10.0637 c=4.1046 alpha=90.00 beta=90.00 gamma=90.00
Space group P4/mbm (No. 127)
One atom of each set of equivalent atoms:
Na 0.1714 0.3286 0.0000 x4
In 0.0000 0.0000 0.0000 x2
Ag 0.1293 0.6293 0.0000 x4
Au 0.0000 0.5000 0.5000 x2
Au 0.0514 0.7985 0.5000 x8

Most intense lines, 10° ≤ 2θ ≤ 90°, in order of rising 2θ:
2theta, I_rel
19.73, 35.2
21.65, 30.3
33.33, 24.9
35.70, 100.0
36.82, 23.5
39.02, 36.6
42.13, 20.7
43.12, 25.4
44.12, 40.3
75.64, 20.9



Rb2Li2PbF7: theoretical powder diffractogram (copper Kα), based on a PBE-relaxed structure.
No peak broadening, texture or thermal motion is included.

Structural model:
Unit cell a=3.9636 b=3.9636 c=21.8120 alpha=90.00 beta=90.00 gamma=90.00
Space group I4/mmm (No. 139)
One atom of each set of equivalent atoms:
Rb 0.0000 0.0000 0.1831 x4
Li 0.0000 0.0000 0.4079 x4
Pb 0.0000 0.0000 0.0000 x2
F 0.0000 0.0000 0.3159 x4
F 0.0000 0.0000 0.5000 x2
F 0.0000 0.5000 0.0765 x8

Most intense lines, 10° ≤ 2θ ≤ 90°, in order of rising 2θ:
2theta, I_rel
16.25, 27.9
22.80, 100.0
24.49, 38.9
30.47, 89.7
31.93, 56.7
36.03, 30.1
40.65, 91.6
45.78, 41.2
51.74, 24.2
56.00, 34.4



Li3Ca: theoretical powder diffractogram (copper Kα), based on a PBE-relaxed structure.
No peak broadening, texture or thermal motion is included.

Structural model:
Unit cell a=5.8718 b=4.5084 c=7.8774 alpha=90.00 beta=90.00 gamma=90.00
Space group Pmma (No. 51)
One atom of each set of equivalent atoms:
Li 0.0000 0.0000 0.0000 x2
Li 0.2500 0.0000 0.3579 x2
Li 0.2500 0.5000 0.1203 x2
Ca 0.2500 0.5000 0.6814 x2

Most intense lines, 10° ≤ 2θ ≤ 90°, in order of rising 2θ:
2theta, I_rel
18.85, 80.9
19.69, 53.0
27.26, 34.8
27.39, 100.0
30.13, 24.8
30.45, 27.8
33.86, 65.2
34.15, 19.8
36.52, 32.9
52.24, 19.2



SnBr: theoretical powder diffractogram (copper Kα), based on a PBE-relaxed structure.
No peak broadening, texture or thermal motion is included.

Structural model:
Unit cell a=5.1007 b=5.6811 c=6.0901 alpha=72.62 beta=89.32 gamma=71.49
Space group P-1 (No. 2)
One atom of each set of equivalent atoms:
Sn 0.1991 0.1450 0.4125 x2
Br 0.1804 0.3024 0.8008 x2

Most intense lines, 10° ≤ 2θ ≤ 90°, in order of rising 2θ:
2theta, I_rel
15.31, 51.8
18.42, 31.4
20.75, 100.0
29.34, 56.9
30.39, 60.2
34.67, 30.2
35.60, 28.9
36.54, 25.2
41.13, 27.2
48.14, 35.1



DyHoBiTe: theoretical powder diffractogram (copper Kα), based on a PBE-relaxed structure.
No peak broadening, texture or thermal motion is included.

Structural model:
Unit cell a=4.4070 b=4.4070 c=6.2314 alpha=90.00 beta=90.00 gamma=90.00
Space group P4mm (No. 99)
One atom of each set of equivalent atoms:
Dy 0.0000 0.0000 0.0000 x1
Ho 0.5000 0.5000 0.5019 x1
Bi 0.5000 0.5000 0.0017 x1
Te 0.0000 0.0000 0.5003 x1

Most intense lines, 10° ≤ 2θ ≤ 90°, in order of rising 2θ:
2theta, I_rel
14.21, 2.3
20.15, 2.4
28.65, 100.0
32.11, 1.5
40.96, 77.2
50.75, 27.8
59.31, 13.1
67.17, 36.2
74.60, 26.9
88.82, 9.0



K2TiSi3O9: theoretical powder diffractogram (copper Kα), based on a PBE-relaxed structure.
No peak broadening, texture or thermal motion is included.

Structural model:
Unit cell a=6.8693 b=6.8693 c=10.0772 alpha=90.00 beta=90.00 gamma=120.00
Space group P6_3/m (No. 176)
One atom of each set of equivalent atoms:
K 0.3333 0.6667 0.0574 x4
Ti 0.0000 0.0000 0.0000 x2
Si 0.1294 0.3772 0.7500 x6
O 0.0222 0.2452 0.6126 x12
O 0.0815 0.5932 0.7500 x6

Most intense lines, 10° ≤ 2θ ≤ 90°, in order of rising 2θ:
2theta, I_rel
14.89, 16.4
23.13, 18.6
25.94, 17.2
27.43, 25.7
30.56, 59.4
31.36, 46.9
31.52, 100.0
41.13, 23.7
49.39, 19.4
54.70, 22.9